Structure and simulated PXRD pattern of Ac3MnO7 (a cell relaxed with GGA+U; Cu Kα, 1.54184 Å).

Structural model:
```
Ac3MnO7
1.0
3.975 -5.644 0.000
3.975 5.644 0.000
0.000 0.000 8.024
Ac Mn O
6 2 14
direct
0.001 0.001 0.000
0.031 0.499 0.250
0.499 0.031 0.750
0.501 0.969 0.250
0.969 0.501 0.750
0.999 0.999 0.500
0.500 0.500 0.000
0.500 0.500 0.500
0.129 0.871 0.750
0.131 0.869 0.250
0.199 0.436 0.978
0.200 0.437 0.522
0.436 0.199 0.022
0.437 0.200 0.478
0.447 0.553 0.250
0.553 0.447 0.750
0.563 0.800 0.978
0.564 0.801 0.522
0.800 0.563 0.022
0.801 0.564 0.478
0.869 0.131 0.750
0.871 0.129 0.250
```

Peak list (12 most intense, 15 to 90 degrees two-theta, in order of rising 2θ)
- 27.3°, d 3.270, rel. 100
- 27.4°, d 3.250, rel. 100
- 31.7°, d 2.823, rel. 76
- 45.2°, d 2.006, rel. 17
- 45.4°, d 1.996, rel. 57
- 45.6°, d 1.987, rel. 13
- 53.7°, d 1.707, rel. 32
- 53.9°, d 1.702, rel. 26
- 54.0°, d 1.698, rel. 28
- 56.6°, d 1.625, rel. 11
- 66.2°, d 1.412, rel. 12
- 75.3°, d 1.262, rel. 17